Entry 1:
Starting from a structure optimized by DFT (GGA-PBE), the PXRD pattern of DyMnB4 was calculated for CuKα.

Top 10 peaks for 2θ = 15–90°, low angle first:
21.6 deg, I 29
26.1 deg, I 66
27.9 deg, I 35
31.3 deg, I 91
34.2 deg, I 25
38.6 deg, I 50
41.2 deg, I 100
44.1 deg, I 24
47.2 deg, I 20
63.6 deg, I 28

Structure:
Unit cell a=5.906 b=11.425 c=3.408 alpha=90.00 beta=90.00 gamma=90.00
Element x y z (fractional)
1 Dy 0.127 0.151 0.000
2 Dy 0.373 0.651 0.000
3 Dy 0.627 0.349 0.000
4 Dy 0.873 0.849 0.000
5 Mn 0.128 0.416 0.000
6 Mn 0.372 0.916 0.000
7 Mn 0.628 0.084 0.000
8 Mn 0.872 0.584 0.000
9 B 0.024 0.691 0.500
10 B 0.112 0.546 0.500
11 B 0.138 0.968 0.500
12 B 0.218 0.816 0.500
13 B 0.282 0.316 0.500
14 B 0.362 0.468 0.500
15 B 0.388 0.046 0.500
16 B 0.476 0.191 0.500
17 B 0.524 0.809 0.500
18 B 0.612 0.954 0.500
19 B 0.638 0.532 0.500
20 B 0.718 0.684 0.500
21 B 0.782 0.184 0.500
22 B 0.862 0.032 0.500
23 B 0.888 0.454 0.500
24 B 0.976 0.309 0.500

=====

Entry 2:
Starting from a structure optimized by DFT (GGA-PBE), the PXRD pattern of CaLaEuSbO6 was calculated for CuKα.

Top 10 peaks for 2θ = 15–90°, low angle first:
18.4 deg, I 10
21.3 deg, I 5
30.3 deg, I 100
37.4 deg, I 11
43.4 deg, I 31
53.9 deg, I 40
63.1 deg, I 19
71.6 deg, I 17
79.7 deg, I 6
87.6 deg, I 21

Structure:
Unit cell a=5.893 b=5.893 c=5.893 alpha=60.00 beta=60.00 gamma=60.00
Element x y z (fractional)
1 Ca 0.000 0.000 0.000
2 La 0.250 0.250 0.250
3 Eu 0.750 0.750 0.750
4 Sb 0.500 0.500 0.500
5 O 0.263 0.263 0.737
6 O 0.263 0.737 0.263
7 O 0.263 0.737 0.737
8 O 0.737 0.263 0.263
9 O 0.737 0.263 0.737
10 O 0.737 0.737 0.263

=====

Entry 3:
Starting from a structure optimized by DFT (GGA-PBE), the PXRD pattern of Na2SrAl4Si4O16 was calculated for CuKα.

Top 10 peaks for 2θ = 15–90°, low angle first:
23.3 deg, I 64
25.1 deg, I 100
27.5 deg, I 66
27.7 deg, I 90
28.8 deg, I 43
29.5 deg, I 43
29.7 deg, I 48
30.7 deg, I 72
33.7 deg, I 43
43.4 deg, I 53

Structure:
Unit cell a=10.713 b=10.713 c=10.713 alpha=132.92 beta=124.55 gamma=75.63
Element x y z (fractional)
1 Na 0.176 0.042 0.218
2 Na 0.324 0.542 0.866
3 Na 0.676 0.458 0.134
4 Na 0.824 0.958 0.782
5 Sr 0.251 0.251 0.000
6 Sr 0.751 0.751 0.000
7 Al 0.032 0.272 0.622
8 Al 0.044 0.371 0.227
9 Al 0.144 0.817 0.773
10 Al 0.150 0.772 0.240
11 Al 0.532 0.911 0.760
12 Al 0.544 0.317 0.672
13 Al 0.644 0.871 0.328
14 Al 0.650 0.411 0.378
15 Si 0.352 0.143 0.682
16 Si 0.358 0.583 0.623
17 Si 0.460 0.083 0.225
18 Si 0.461 0.670 0.318
19 Si 0.852 0.170 0.209
20 Si 0.858 0.235 0.775
21 Si 0.960 0.735 0.377
22 Si 0.961 0.643 0.791
23 O 0.006 0.781 0.793
24 O 0.016 0.756 0.028
25 O 0.029 0.749 0.285
26 O 0.053 0.486 0.722
27 O 0.063 0.879 0.630
28 O 0.228 0.256 0.741
29 O 0.241 0.647 0.700
30 O 0.249 0.432 0.370
31 O 0.264 0.986 0.434
32 O 0.272 0.622 0.198
33 O 0.279 0.011 0.025
34 O 0.424 0.073 0.802
35 O 0.446 0.147 0.405
36 O 0.464 0.744 0.715
37 O 0.486 0.511 0.732
38 O 0.488 0.281 0.775
39 O 0.506 0.712 0.225
40 O 0.516 0.488 0.259
41 O 0.529 0.244 0.280
42 O 0.553 0.830 0.566
43 O 0.563 0.932 0.183
44 O 0.728 0.988 0.972
45 O 0.741 0.041 0.595
46 O 0.749 0.379 0.817
47 O 0.764 0.330 0.278
48 O 0.772 0.573 0.650
49 O 0.779 0.754 0.268
50 O 0.924 0.122 0.350
51 O 0.946 0.541 0.300
52 O 0.964 0.249 0.720
53 O 0.986 0.254 0.975
54 O 0.988 0.212 0.207

=====

Entry 4:
Starting from a structure optimized by DFT (GGA-PBE), the PXRD pattern of RbInBr3 was calculated for CuKα.

Top 10 peaks for 2θ = 15–90°, low angle first:
15.5 deg, I 38
22.0 deg, I 46
25.8 deg, I 31
27.0 deg, I 39
31.3 deg, I 100
35.1 deg, I 27
38.6 deg, I 41
44.8 deg, I 56
47.0 deg, I 25
69.8 deg, I 19

Structure:
Unit cell a=8.083 b=8.083 c=8.083 alpha=60.08 beta=60.08 gamma=60.08
Element x y z (fractional)
1 Rb 0.000 0.000 0.000
2 Rb 0.500 0.500 0.500
3 In 0.265 0.265 0.265
4 In 0.765 0.765 0.765
5 Br 0.020 0.454 0.579
6 Br 0.079 0.954 0.520
7 Br 0.454 0.579 0.020
8 Br 0.520 0.079 0.954
9 Br 0.579 0.020 0.454
10 Br 0.954 0.520 0.079

=====

Entry 5:
Starting from a structure optimized by DFT (GGA-PBE), the PXRD pattern of CdAg3 was calculated for CuKα.

Top 10 peaks for 2θ = 15–90°, low angle first:
34.8 deg, I 24
36.8 deg, I 27
39.6 deg, I 100
51.6 deg, I 15
62.4 deg, I 16
68.2 deg, I 19
74.7 deg, I 19
76.5 deg, I 13
85.2 deg, I 3
88.7 deg, I 3

Structure:
Unit cell a=5.950 b=5.950 c=4.880 alpha=90.00 beta=90.00 gamma=120.00
Element x y z (fractional)
1 Cd 0.333 0.667 0.250
2 Cd 0.667 0.333 0.750
3 Ag 0.166 0.331 0.750
4 Ag 0.166 0.834 0.750
5 Ag 0.331 0.166 0.250
6 Ag 0.669 0.834 0.750
7 Ag 0.834 0.166 0.250
8 Ag 0.834 0.669 0.250

=====

Entry 6:
Starting from a structure optimized by DFT (GGA-PBE), the PXRD pattern of As3Pb5ClO12 was calculated for CuKα.

Top 10 peaks for 2θ = 15–90°, low angle first:
26.0 deg, I 31
28.7 deg, I 100
29.4 deg, I 93
29.6 deg, I 53
42.2 deg, I 36
45.0 deg, I 31
45.3 deg, I 22
45.9 deg, I 22
46.9 deg, I 26
58.0 deg, I 24

Structure:
Unit cell a=10.463 b=10.463 c=7.482 alpha=90.00 beta=90.00 gamma=120.00
Element x y z (fractional)
1 As 0.025 0.405 0.250
2 As 0.380 0.975 0.250
3 As 0.405 0.380 0.750
4 As 0.595 0.620 0.250
5 As 0.620 0.025 0.750
6 As 0.975 0.595 0.750
7 Pb 0.010 0.757 0.250
8 Pb 0.243 0.253 0.250
9 Pb 0.253 0.010 0.750
10 Pb 0.333 0.667 0.504
11 Pb 0.333 0.667 0.996
12 Pb 0.667 0.333 0.004
13 Pb 0.667 0.333 0.496
14 Pb 0.747 0.990 0.250
15 Pb 0.757 0.747 0.750
16 Pb 0.990 0.243 0.750
17 Cl 0.000 0.000 0.000
18 Cl 0.000 0.000 0.500
19 O 0.091 0.356 0.067
20 O 0.091 0.356 0.433
21 O 0.115 0.598 0.250
22 O 0.164 0.671 0.750
23 O 0.265 0.909 0.067
24 O 0.265 0.909 0.433
25 O 0.329 0.493 0.750
26 O 0.356 0.265 0.567
27 O 0.356 0.265 0.933
28 O 0.402 0.517 0.250
29 O 0.483 0.885 0.250
30 O 0.493 0.164 0.250
31 O 0.507 0.836 0.750
32 O 0.517 0.115 0.750
33 O 0.598 0.483 0.750
34 O 0.644 0.735 0.067
35 O 0.644 0.735 0.433
36 O 0.671 0.507 0.250
37 O 0.735 0.091 0.567
38 O 0.735 0.091 0.933
39 O 0.836 0.329 0.250
40 O 0.885 0.402 0.750
41 O 0.909 0.644 0.567
42 O 0.909 0.644 0.933

=====

Entry 7:
Starting from a structure optimized by DFT (GGA-PBE), the PXRD pattern of ThN4F8 was calculated for CuKα.

Top 10 peaks for 2θ = 15–90°, low angle first:
16.6 deg, I 98
18.9 deg, I 44
20.8 deg, I 100
21.5 deg, I 32
22.3 deg, I 39
23.3 deg, I 48
24.5 deg, I 58
26.3 deg, I 53
31.1 deg, I 68
31.8 deg, I 32

Structure:
Unit cell a=7.395 b=8.732 c=9.399 alpha=106.57 beta=93.90 gamma=97.83
Element x y z (fractional)
1 Th 0.236 0.455 0.410
2 Th 0.764 0.545 0.590
3 N 0.162 0.817 0.089
4 N 0.163 0.994 0.678
5 N 0.283 0.868 0.176
6 N 0.455 0.291 0.039
7 N 0.545 0.709 0.961
8 N 0.717 0.132 0.824
9 N 0.837 0.006 0.322
10 N 0.838 0.183 0.911
11 F 0.098 0.580 0.620
12 F 0.160 0.151 0.675
13 F 0.195 0.202 0.314
14 F 0.219 0.529 0.216
15 F 0.250 0.928 0.554
16 F 0.358 0.137 0.990
17 F 0.445 0.705 0.828
18 F 0.467 0.391 0.562
19 F 0.533 0.609 0.438
20 F 0.555 0.295 0.172
21 F 0.642 0.863 0.010
22 F 0.750 0.072 0.446
23 F 0.781 0.471 0.784
24 F 0.805 0.798 0.686
25 F 0.840 0.849 0.325
26 F 0.902 0.420 0.380

=====

Entry 8:
Starting from a structure optimized by DFT (GGA-PBE), the PXRD pattern of NiH4Cl2 was calculated for CuKα.

Top 10 peaks for 2θ = 15–90°, low angle first:
20.2 deg, I 78
25.5 deg, I 31
25.7 deg, I 22
31.4 deg, I 100
36.0 deg, I 25
36.7 deg, I 92
49.3 deg, I 28
52.3 deg, I 29
52.9 deg, I 28
63.0 deg, I 26

Structure:
Unit cell a=4.898 b=4.898 c=9.986 alpha=90.00 beta=90.00 gamma=90.00
Element x y z (fractional)
1 Ni 0.000 0.000 0.000
2 Ni 0.500 0.500 0.303
3 Ni 0.500 0.500 0.697
4 H 0.226 0.500 0.233
5 H 0.226 0.500 0.767
6 H 0.500 0.226 0.233
7 H 0.500 0.226 0.767
8 H 0.500 0.500 0.158
9 H 0.500 0.500 0.464
10 H 0.500 0.500 0.536
11 H 0.500 0.500 0.842
12 H 0.500 0.774 0.233
13 H 0.500 0.774 0.767
14 H 0.774 0.500 0.233
15 H 0.774 0.500 0.767
16 Cl 0.000 0.000 0.218
17 Cl 0.000 0.000 0.782
18 Cl 0.000 0.500 0.000
19 Cl 0.000 0.500 0.500
20 Cl 0.500 0.000 0.000
21 Cl 0.500 0.000 0.500

=====

Entry 9:
Starting from a structure optimized by DFT (GGA-PBE), the PXRD pattern of Rb3GaI6 was calculated for CuKα.

Top 10 peaks for 2θ = 15–90°, low angle first:
24.5 deg, I 95
28.4 deg, I 100
37.2 deg, I 20
40.6 deg, I 68
48.0 deg, I 34
50.3 deg, I 22
56.2 deg, I 14
66.6 deg, I 23
73.9 deg, I 15
78.8 deg, I 16

Structure:
Unit cell a=8.886 b=8.886 c=8.886 alpha=60.00 beta=60.00 gamma=60.00
Element x y z (fractional)
1 Rb 0.000 0.000 0.000
2 Rb 0.250 0.250 0.250
3 Rb 0.750 0.750 0.750
4 Ga 0.500 0.500 0.500
5 I 0.276 0.276 0.724
6 I 0.276 0.724 0.276
7 I 0.276 0.724 0.724
8 I 0.724 0.276 0.276
9 I 0.724 0.276 0.724
10 I 0.724 0.724 0.276

=====

Entry 10:
Starting from a structure optimized by DFT (GGA-PBE), the PXRD pattern of BeTcSe was calculated for CuKα.

Top 8 peaks for 2θ = 15–90°, low angle first:
27.9 deg, I 3
32.3 deg, I 100
46.4 deg, I 82
55.0 deg, I 1
57.7 deg, I 25
67.7 deg, I 13
77.0 deg, I 31
86.0 deg, I 27

Structure:
Unit cell a=3.916 b=3.916 c=3.916 alpha=60.00 beta=60.00 gamma=60.00
Element x y z (fractional)
1 Be 0.000 0.000 0.000
2 Tc 0.250 0.250 0.250
3 Se 0.750 0.750 0.750

=====

Entry 11:
Starting from a structure optimized by DFT (GGA-PBE), the PXRD pattern of CsRb2YBr6 was calculated for CuKα.

Top 10 peaks for 2θ = 15–90°, low angle first:
20.3 deg, I 39
24.9 deg, I 47
28.8 deg, I 100
32.3 deg, I 14
35.5 deg, I 14
41.2 deg, I 69
48.7 deg, I 16
51.0 deg, I 23
67.5 deg, I 25
75.0 deg, I 17

Structure:
Unit cell a=8.770 b=8.770 c=8.770 alpha=60.00 beta=60.00 gamma=60.00
Element x y z (fractional)
1 Cs 0.000 0.000 0.000
2 Rb 0.250 0.250 0.250
3 Rb 0.750 0.750 0.750
4 Y 0.500 0.500 0.500
5 Br 0.275 0.275 0.725
6 Br 0.275 0.725 0.275
7 Br 0.275 0.725 0.725
8 Br 0.725 0.275 0.275
9 Br 0.725 0.275 0.725
10 Br 0.725 0.725 0.275